(1)
Starting from the PBE geometry in OQMD, the XRD peak list of SmGd2Se3 was simulated for CuKα.
Intensities are scaled so that the largest is 100.

The 12 most intense peaks (2θ = 10–80°), low angle first:
hkl  2theta  I/Imax
0 0 3  26.45  19
0 1 2  30.63  100
1 0 4  43.81  37
1 1 0  43.93  37
0 1 5  51.87  2
1 1 3  51.99  7
0 0 6  54.30  7
2 0 2  54.51  20
0 2 4  63.78  12
2 1 1  70.40  2
1 1 6  72.32  17
1 2 2  72.50  17

Cell: 4.1217 4.1217 10.1363 Å, 90.00 90.00 120.00°
Space group P-3m1 (No. 164)
One atom of each set of equivalent atoms:
Sm  0.0000  0.0000  0.0000 [1 per cell]
Gd  0.3333  0.6667  0.6657 [2 per cell]
Se  0.0000  0.0000  0.5000 [1 per cell]
Se  0.3333  0.6667  0.1708 [2 per cell]

=====

(2)
Starting from the PBE geometry in OQMD, the XRD peak list of LiNpAg was simulated for CuKα.
Intensities are scaled so that the largest is 100.

The 10 most intense peaks (2θ = 10–80°), low angle first:
hkl  2theta  I/Imax
1 1 1  23.75  22
2 0 0  27.50  100
2 2 0  39.28  83
3 1 1  46.42  13
2 2 2  48.61  28
4 0 0  56.76  14
3 3 1  62.39  6
4 2 0  64.20  37
4 2 2  71.20  29
5 1 1  76.26  4

Cell: 6.4877 6.4877 6.4877 Å, 90.00 90.00 90.00°
Space group F-43m (No. 216)
One atom of each set of equivalent atoms:
Li  0.0000  0.0000  0.0000 [4 per cell]
Np  0.2500  0.2500  0.7500 [4 per cell]
Ag  0.2500  0.2500  0.2500 [4 per cell]

=====

(3)
Starting from the PBE geometry in OQMD, the XRD peak list of Al7Co5 was simulated for CuKα.
Intensities are scaled so that the largest is 100.

The 12 most intense peaks (2θ = 10–80°), low angle first:
hkl  2theta  I/Imax
0 0 2  11.06  86
1 0 0  21.37  29
1 0 1  22.09  32
1 1 0  37.46  19
1 0 6  40.17  32
1 1 4  43.99  100
2 0 2  45.06  74
0 0 8  45.32  36
2 0 4  49.40  35
1 0 8  50.64  20
3 0 4  72.13  21
2 2 0  79.93  23

Cell: 4.8010 4.8010 16.0038 Å, 90.00 90.00 120.00°
Space group P6_3/mmc (No. 194)
One atom of each set of equivalent atoms:
Al  0.0000  0.0000  0.0821 [4 per cell]
Al  0.1672  0.3344  0.2500 [6 per cell]
Al  0.3333  0.6667  0.6368 [4 per cell]
Co  0.0000  0.5000  0.0000 [6 per cell]
Co  0.3333  0.6667  0.1269 [4 per cell]

=====

(4)
Starting from the PBE geometry in OQMD, the XRD peak list of ZnCuAu2 was simulated for CuKα.
Intensities are scaled so that the largest is 100.

The 12 most intense peaks (2θ = 10–80°), low angle first:
hkl  2theta  I/Imax
0 2 0  25.82  33
2 0 0  29.04  25
0 0 2  30.41  22
2 2 0  39.25  100
0 2 2  40.31  93
2 0 2  42.55  80
2 2 2  50.45  23
0 4 0  53.09  21
4 0 0  60.20  14
2 4 2  70.29  36
4 2 2  74.96  30
2 2 4  77.05  28

Cell: 6.1487 6.9005 5.8785 Å, 90.00 90.00 90.00°
Space group Imma (No. 74)
One atom of each set of equivalent atoms:
Zn  0.0000  0.2500  0.2504 [4 per cell]
Cu  0.0000  0.2500  0.7495 [4 per cell]
Au  0.2497  0.0000  0.0000 [8 per cell]

=====

(5)
Starting from the PBE geometry in OQMD, the XRD peak list of Cu5Ag4 was simulated for CuKα.
Intensities are scaled so that the largest is 100.

The 12 most intense peaks (2θ = 10–80°), low angle first:
hkl  2theta  I/Imax
0 0 2  15.58  2
0 0 4  31.46  4
1 0 1  33.26  3
0 3 1  33.36  3
1 0 3  40.34  100
1 3 0  46.39  33
0 0 6  47.99  14
1 3 4  57.13  3
0 3 7  66.75  3
2 0 0  67.57  5
0 6 0  67.82  5
1 3 6  68.96  17

Cell: 2.7728 8.2910 11.3754 Å, 90.00 90.00 90.00°
Space group Imm2 (No. 44)
One atom of each set of equivalent atoms:
Cu  0.0000  0.0000  0.0000 [2 per cell]
Cu  0.0000  0.3190  0.0061 [4 per cell]
Cu  0.0000  0.3386  0.3530 [4 per cell]
Ag  0.0000  0.0000  0.3582 [2 per cell]
Ag  0.0000  0.0000  0.6756 [2 per cell]
Ag  0.0000  0.3315  0.6745 [4 per cell]

=====

(6)
Starting from the PBE geometry in OQMD, the XRD peak list of BaNd was simulated for CuKα.
Intensities are scaled so that the largest is 100.

The 12 most intense peaks (2θ = 10–80°), low angle first:
hkl  2theta  I/Imax
1 0 0  26.06  23
0 0 2  27.17  27
1 0 1  29.46  100
1 0 2  38.00  17
1 1 0  45.98  19
1 0 3  49.45  24
1 1 2  54.23  24
2 0 1  55.55  17
2 0 3  69.82  8
2 1 1  74.90  14
1 1 4  75.31  9
1 0 5  77.95  6

Cell: 3.9477 3.9477 6.5649 Å, 90.00 90.00 120.00°
Space group P-6m2 (No. 187)
One atom of each set of equivalent atoms:
Ba  0.0000  0.0000  0.0000 [1 per cell]
Nd  0.6667  0.3333  0.5000 [1 per cell]

=====

(7)
Starting from the PBE geometry in OQMD, the XRD peak list of ZrBAsO was simulated for CuKα.
Intensities are scaled so that the largest is 100.

The 12 most intense peaks (2θ = 10–80°), low angle first:
hkl  2theta  I/Imax
1 0 0  26.54  93
0 2 0  26.68  39
1 1 0  29.77  35
0 2 1  31.33  47
0 0 2  32.61  100
1 2 0  37.98  35
1 2 1  41.52  65
1 0 2  42.55  76
0 3 1  43.85  31
1 2 2  50.91  29
1 3 1  52.00  36
1 2 3  64.34  28

Cell: 3.3583 6.6836 5.4915 Å, 90.00 90.00 90.00°
Space group Pmc2_1 (No. 26)
One atom of each set of equivalent atoms:
Zr  0.0000  0.1430  0.0000 [2 per cell]
B  0.5000  0.4343  0.4989 [2 per cell]
As  0.0000  0.2604  0.4996 [2 per cell]
O  0.5000  0.3642  0.9974 [2 per cell]

=====

(8)
Starting from the PBE geometry in OQMD, the XRD peak list of K3Sb2W3 was simulated for CuKα.
Intensities are scaled so that the largest is 100.

The 12 most intense peaks (2θ = 10–80°), low angle first:
hkl  2theta  I/Imax
0 0 3  10.60  100
0 1 2  19.90  46
0 1 5  25.78  12
1 0 7  31.25  17
0 0 9  32.18  17
1 1 3  34.26  16
0 2 1  37.86  26
1 1 6  39.17  27
0 2 4  40.44  37
2 0 5  41.92  14
0 0 12  43.37  12
2 0 8  47.93  25

Cell: 5.5134 5.5134 25.0337 Å, 90.00 90.00 120.00°
Space group R-3m (No. 166, hexagonal axes)
One atom of each set of equivalent atoms:
K  0.0000  0.0000  0.0000 [3 per cell]
K  0.0000  0.0000  0.4077 [6 per cell]
Sb  0.0000  0.0000  0.2587 [6 per cell]
W  0.0000  0.5000  0.5000 [9 per cell]